Record 1
# KNa4SnSb3
Theoretical powder diffraction line list, Cu Kα X-rays. Input: the GGA-PBE geometry in Alexandria.
Neutral-atom scattering factors, no anomalous dispersion.

Structure:
```
KNa4SnSb3
1.0
9.261 0.000 0.000
0.000 8.362 0.000
-9.138 0.000 14.830
K Na Sn Sb
4 16 4 12
Cartesian
-2.956 0.208 6.125 K
-7.525 3.973 13.540 K
7.648 4.389 1.289 K
3.079 8.155 8.704 K
0.745 1.350 1.229 Na
-3.824 2.832 8.644 Na
-5.186 5.239 10.993 Na
-0.617 7.304 3.579 Na
-1.610 4.617 6.003 Na
-6.179 7.927 13.418 Na
1.599 4.217 3.829 Na
-2.970 8.327 11.244 Na
3.093 0.036 3.585 Na
-1.476 4.145 11.000 Na
6.302 0.436 1.412 Na
1.733 3.745 8.827 Na
0.740 1.058 11.251 Na
5.309 3.123 3.836 Na
3.947 5.531 6.186 Na
-0.622 7.013 13.601 Na
0.684 1.278 6.080 Sn
-3.885 2.903 13.495 Sn
4.008 5.459 1.335 Sn
-0.561 7.084 8.750 Sn
-5.436 2.004 11.282 Sb
-0.867 2.177 3.867 Sb
-3.184 5.946 8.671 Sb
1.385 6.598 1.257 Sb
-0.790 1.670 8.568 Sb
3.779 2.511 1.153 Sb
-3.656 5.851 13.677 Sb
0.913 6.692 6.262 Sb
-1.262 1.764 13.573 Sb
3.307 2.417 6.158 Sb
0.990 6.185 10.963 Sb
5.559 6.358 3.548 Sb
```

Main lines, in order of rising 2θ (2θ = 10–90°):
h k l  Position (°2θ)  intensity
1 0 0  11.25  92
1 0 -4  20.44  71
0 2 0  21.25  94
2 1 -2  21.94  94
1 2 2  29.54  90
1 2 -4  29.65  99
1 3 -1  33.57  61
3 0 0  34.11  75
3 0 -6  34.38  64
0 0 6  36.35  100


Record 2
# Nd2ThHg5
Theoretical powder diffraction line list, Cu Kα X-rays. Input: the GGA-PBE geometry in Alexandria.
Neutral-atom scattering factors, no anomalous dispersion.

Structure:
```
Nd2ThHg5
1.0
5.298 0.000 0.000
0.000 5.298 0.000
0.000 0.000 15.206
Nd Th Hg
4 2 10
Cartesian
0.000 0.000 3.548 Nd
0.000 0.000 11.658 Nd
2.649 2.649 4.055 Nd
2.649 2.649 11.151 Nd
0.000 0.000 7.603 Th
2.649 2.649 0.000 Th
0.000 0.000 0.000 Hg
0.000 2.649 1.845 Hg
0.000 2.649 5.758 Hg
0.000 2.649 9.448 Hg
0.000 2.649 13.361 Hg
2.649 0.000 1.845 Hg
2.649 0.000 5.758 Hg
2.649 0.000 9.448 Hg
2.649 0.000 13.361 Hg
2.649 2.649 7.603 Hg
```

Main lines, in order of rising 2θ (2θ = 10–90°):
h k l  Position (°2θ)  intensity
1 1 4  33.58  100
2 0 0  33.84  51
0 0 8  47.85  8
2 2 0  48.60  19
2 0 8  59.89  17
3 1 4  60.37  38
2 2 8  70.59  11
1 1 12  79.92  7
3 3 4  81.05  8
4 2 0  81.19  9